Structure and computed PXRD pattern of B2C3 (a crystal structure in Alexandria, relaxed with PBE; Cu Kα (weighted mean of Kα1 and Kα2)).

Main lines, low angle first (10° ≤ 2θ ≤ 90°):
- 2θ 16.92, I = 17
- 2θ 25.49, I = 2
- 2θ 42.33, I = 100
- 2θ 47.60, I = 5
- 2θ 54.00, I = 1
- 2θ 61.34, I = 2
- 2θ 63.85, I = 1
- 2θ 69.92, I = 24
- 2θ 76.85, I = 12
- 2θ 77.04, I = 5
- 2θ 78.56, I = 6
- 2θ 88.55, I = 3

Structure:
```
10
Lattice="-1.240 1.240 10.482 1.240 -1.240 10.482 1.240 1.240 -10.482" Properties=species:S:1:pos:R:3 pbc="T T T"
B 0.000 0.000 0.000
B 0.000 0.000 3.941
B 1.240 0.000 5.241
B 0.000 0.000 17.023
C 1.240 0.000 1.077
C 0.000 0.000 8.512
C 1.240 0.000 9.405
C 0.000 0.000 12.451
C 0.000 1.240 2.862
C 0.000 1.240 7.620
```

---

Structure and computed PXRD pattern of ThSc14Cd (a crystal structure in Alexandria, relaxed with PBE; Cu Kα (weighted mean of Kα1 and Kα2)).

Main lines, low angle first (10° ≤ 2θ ≤ 90°):
- 2θ 19.36, I = 12
- 2θ 21.58, I = 19
- 2θ 27.23, I = 11
- 2θ 29.15, I = 10
- 2θ 33.63, I = 100
- 2θ 38.48, I = 17
- 2θ 39.30, I = 32
- 2θ 56.17, I = 21
- 2θ 56.79, I = 12
- 2θ 66.52, I = 13
- 2θ 67.65, I = 23
- 2θ 70.70, I = 10

Structure:
```
16
Lattice="4.583 -4.587 0.000 4.583 4.587 0.000 0.000 0.000 9.359" Properties=species:S:1:pos:R:3 pbc="T T T"
Th 0.000 0.000 0.000
Sc 0.000 0.000 4.680
Sc 2.292 2.293 0.000
Sc 2.292 2.293 4.680
Sc 2.275 0.000 2.348
Sc 2.275 0.000 7.012
Sc 4.583 2.312 2.348
Sc 4.583 2.312 7.011
Sc 2.292 -2.293 0.000
Sc 2.292 -2.293 4.680
Sc 4.583 0.000 4.680
Sc 4.583 -2.312 2.348
Sc 4.583 -2.312 7.011
Sc 6.891 0.000 2.348
Sc 6.891 0.000 7.012
Cd 4.583 0.000 0.000
```

---

Structure and computed PXRD pattern of Pu3NiS6 (a crystal structure in Alexandria, relaxed with PBE; Cu Kα (weighted mean of Kα1 and Kα2)).

Main lines, low angle first (10° ≤ 2θ ≤ 90°):
- 2θ 17.80, I = 46
- 2θ 25.82, I = 100
- 2θ 25.98, I = 29
- 2θ 26.18, I = 59
- 2θ 27.05, I = 16
- 2θ 35.54, I = 16
- 2θ 39.05, I = 45
- 2θ 39.23, I = 18
- 2θ 39.80, I = 31
- 2θ 42.70, I = 36
- 2θ 49.74, I = 18
- 2θ 51.42, I = 34

Structure:
```
20
Lattice="5.329 -6.593 0.000 5.329 6.593 0.000 0.000 0.000 6.233" Properties=species:S:1:pos:R:3 pbc="T T T"
Pu 5.329 5.120 3.117
Pu 3.454 1.377 3.550
Pu 3.454 -1.377 0.433
Pu 7.203 1.377 3.550
Pu 7.203 -1.377 0.433
Pu 5.329 -5.120 0.000
Ni 5.329 2.555 0.921
Ni 5.329 -2.555 4.037
S 3.532 3.512 1.821
S 1.726 0.321 1.767
S 1.726 -0.321 4.884
S 5.329 2.863 4.891
S 7.125 3.512 1.821
S 5.329 0.468 1.695
S 5.329 -0.468 4.812
S 3.532 -3.512 4.938
S 5.329 -2.863 1.774
S 8.931 0.321 1.767
S 8.931 -0.321 4.884
S 7.125 -3.512 4.938
```

---

Structure and computed PXRD pattern of Fe7Co3 (a crystal structure in Alexandria, relaxed with PBE; Cu Kα (weighted mean of Kα1 and Kα2)).

Main lines, low angle first (10° ≤ 2θ ≤ 90°):
- 2θ 13.20, I = 15
- 2θ 38.47, I = 16
- 2θ 40.35, I = 22
- 2θ 40.47, I = 63
- 2θ 44.94, I = 91
- 2θ 46.93, I = 49
- 2θ 47.37, I = 100
- 2θ 48.97, I = 17
- 2θ 70.94, I = 10
- 2θ 73.40, I = 19
- 2θ 74.11, I = 18
- 2θ 86.03, I = 25

Structure:
```
20
Lattice="7.743 0.000 0.000 -3.872 6.706 0.000 0.000 0.000 4.680" Properties=species:S:1:pos:R:3 pbc="T T T"
Fe -1.936 3.353 0.000
Fe -1.936 3.353 2.340
Fe 0.000 1.691 1.170
Fe -2.408 5.861 1.170
Fe 1.464 0.845 3.510
Fe 0.000 4.471 1.170
Fe 3.872 0.000 0.000
Fe 3.872 0.000 2.340
Fe 1.936 3.353 0.000
Fe 1.936 3.353 2.340
Fe 3.872 2.235 3.510
Fe 2.408 5.861 1.170
Fe 6.279 0.845 3.510
Fe 3.872 5.015 3.510
Co 0.000 2.881 3.510
Co -1.377 5.266 3.510
Co 2.495 1.441 1.170
Co 1.377 5.266 3.510
Co 5.248 1.441 1.170
Co 3.872 3.825 1.170
```

---

Structure and computed PXRD pattern of HgPtCl (a crystal structure in Alexandria, relaxed with PBE; Cu Kα (weighted mean of Kα1 and Kα2)).

Main lines, low angle first (10° ≤ 2θ ≤ 90°):
- 2θ 15.61, I = 100
- 2θ 20.52, I = 61
- 2θ 24.65, I = 80
- 2θ 30.80, I = 64
- 2θ 31.82, I = 41
- 2θ 34.71, I = 70
- 2θ 37.04, I = 85
- 2θ 38.46, I = 53
- 2θ 41.37, I = 41
- 2θ 44.47, I = 37
- 2θ 44.65, I = 71
- 2θ 52.92, I = 33

Structure:
```
6
Lattice="11.353 0.000 0.000 0.000 1.527 4.681 0.000 -1.527 4.681" Properties=species:S:1:pos:R:3 pbc="T T T"
Hg 0.000 0.000 0.000
Hg 5.676 0.000 0.144
Pt 1.277 0.000 2.522
Pt 10.075 0.000 2.522
Cl 3.159 0.000 7.075
Cl 8.193 0.000 7.075
```

---

Structure and computed PXRD pattern of LiTlBrF (a crystal structure in Alexandria, relaxed with PBE; Cu Kα (weighted mean of Kα1 and Kα2)).

Main lines, low angle first (10° ≤ 2θ ≤ 90°):
- 2θ 14.60, I = 82
- 2θ 22.45, I = 46
- 2θ 28.61, I = 36
- 2θ 28.72, I = 36
- 2θ 30.73, I = 93
- 2θ 33.49, I = 100
- 2θ 38.60, I = 17
- 2θ 38.77, I = 17
- 2θ 43.19, I = 19
- 2θ 50.28, I = 31
- 2θ 52.62, I = 17
- 2θ 52.70, I = 17

Structure:
```
4
Lattice="6.067 -2.095 0.000 6.067 2.095 0.000 -0.016 0.000 3.629" Properties=species:S:1:pos:R:3 pbc="T T T"
Li 0.000 0.000 0.000
Tl 3.519 0.000 1.830
Br 7.739 0.000 0.011
F 11.414 0.000 1.812
```

---

Structure and computed PXRD pattern of Er3GeO7 (a crystal structure in Alexandria, relaxed with PBE; Cu Kα (weighted mean of Kα1 and Kα2)).

Main lines, low angle first (10° ≤ 2θ ≤ 90°):
- 2θ 14.81, I = 9
- 2θ 29.87, I = 100
- 2θ 29.98, I = 100
- 2θ 34.60, I = 20
- 2θ 34.74, I = 46
- 2θ 49.83, I = 67
- 2θ 50.09, I = 17
- 2θ 59.14, I = 21
- 2θ 59.22, I = 23
- 2θ 59.41, I = 28
- 2θ 62.30, I = 9
- 2θ 80.90, I = 10

Structure:
```
22
Lattice="3.662 -5.185 0.000 3.662 5.185 0.000 0.000 0.000 7.285" Properties=species:S:1:pos:R:3 pbc="T T T"
Er 0.198 0.000 0.000
Er 1.954 2.377 1.857
Er 1.954 -2.377 5.428
Er 5.371 2.377 1.786
Er 5.371 -2.377 5.499
Er 7.127 0.000 3.642
Ge 3.644 0.000 0.000
Ge 3.680 0.000 3.642
O 3.662 3.838 5.464
O 3.662 3.782 1.821
O 2.205 1.266 7.086
O 2.287 1.279 3.901
O 2.205 -1.266 0.199
O 3.662 0.701 1.821
O 2.287 -1.279 3.384
O 5.037 1.279 7.027
O 3.662 -0.701 5.464
O 5.120 1.266 3.842
O 5.037 -1.279 0.258
O 5.120 -1.266 3.443
O 3.662 -3.782 5.464
O 3.662 -3.838 1.821
```

---

Structure and computed PXRD pattern of Sc3CuHg (a crystal structure in Alexandria, relaxed with PBE; Cu Kα (weighted mean of Kα1 and Kα2)).

Main lines, low angle first (10° ≤ 2θ ≤ 90°):
- 2θ 23.50, I = 45
- 2θ 24.22, I = 81
- 2θ 34.00, I = 100
- 2θ 40.87, I = 22
- 2θ 42.19, I = 38
- 2θ 42.62, I = 16
- 2θ 48.08, I = 25
- 2θ 49.62, I = 30
- 2θ 55.60, I = 15
- 2θ 61.52, I = 15
- 2θ 66.17, I = 12
- 2θ 66.42, I = 14

Structure:
```
10
Lattice="7.349 0.000 0.000 -3.675 6.365 0.000 0.000 0.000 4.708" Properties=species:S:1:pos:R:3 pbc="T T T"
Sc 0.000 2.419 1.177
Sc -1.579 5.155 1.177
Sc 2.095 1.210 3.531
Sc 1.579 5.155 1.177
Sc 5.254 1.210 3.531
Sc 3.675 3.945 3.531
Cu 0.000 0.000 0.000
Cu 0.000 0.000 2.354
Hg 0.000 4.243 3.531
Hg 3.675 2.122 1.177
```